No. 1
Starting from the PBE geometry in Alexandria, the X-ray diffraction stick pattern of VNiAg was computed for a wavelength of 1.5418 Å.
Lines closer than 0.1° are merged.

Atomic structure:
```
data_VNiAg
_cell_length_a 13.485
_cell_length_b 13.485
_cell_length_c 2.601
_cell_angle_alpha 90.00
_cell_angle_beta 90.00
_cell_angle_gamma 168.93
_space_group_name_H-M_alt 'P 1'
_space_group_IT_number 1
loop_
_space_group_symop_operation_xyz
'x,y,z'
loop_
_atom_site_label
_atom_site_fract_x
_atom_site_fract_y
_atom_site_fract_z
V1 0.111 0.889 0.750
V2 0.889 0.111 0.250
Ni1 0.462 0.538 0.250
Ni2 0.538 0.462 0.750
Ag1 0.204 0.796 0.250
Ag2 0.796 0.204 0.750
```

The 12 most intense peaks (2θ = 15–90°), by intensity:
d [Å]	two_theta	I/Imax
2.425	37.07	100
2.497	35.96	93
1.658	55.40	50
2.237	40.32	50
1.960	46.32	36
2.056	44.05	26
1.835	49.69	23
2.685	33.38	22
1.410	66.29	22
2.249	40.10	22
1.301	72.71	21
1.740	52.60	20

---

No. 2
Starting from the PBE geometry in Alexandria, the X-ray diffraction stick pattern of Re2Tc4Ru3 was computed for a wavelength of 1.5418 Å.
Lines closer than 0.1° are merged.

Atomic structure:
```
data_Re2Tc4Ru3
_cell_length_a 4.788
_cell_length_b 7.024
_cell_length_c 8.494
_cell_angle_alpha 108.26
_cell_angle_beta 106.19
_cell_angle_gamma 90.05
_space_group_name_H-M_alt 'P 1'
_space_group_IT_number 1
loop_
_space_group_symop_operation_xyz
'x,y,z'
loop_
_atom_site_label
_atom_site_fract_x
_atom_site_fract_y
_atom_site_fract_z
Re1 0.001 0.410 0.328
Re2 0.222 0.132 0.107
Re3 0.778 0.868 0.893
Re4 0.999 0.590 0.672
Tc1 0.112 0.200 0.559
Tc2 0.332 0.922 0.338
Tc3 0.334 0.743 0.996
Tc4 0.444 0.535 0.226
Tc5 0.556 0.465 0.774
Tc6 0.666 0.257 0.004
Tc7 0.668 0.078 0.662
Tc8 0.888 0.800 0.441
Ru1 0.108 0.360 0.889
Ru2 0.223 0.973 0.776
Ru3 0.443 0.693 0.555
Ru4 0.557 0.307 0.445
Ru5 0.777 0.027 0.224
Ru6 0.892 0.640 0.111
```

The 12 most intense peaks (2θ = 15–90°), by intensity:
d [Å]	two_theta	I/Imax
2.099	43.09	100
2.093	43.22	97
2.187	41.28	49
2.391	37.62	31
1.244	76.61	23
1.612	57.15	19
1.167	82.72	19
2.383	37.75	17
1.246	76.45	12
1.382	67.81	11
1.379	67.99	11
1.376	68.16	11

---

No. 3
Starting from the PBE geometry in Alexandria, the X-ray diffraction stick pattern of TeI2 was computed for a wavelength of 1.5418 Å.
Lines closer than 0.1° are merged.

Atomic structure:
```
data_TeI2
_cell_length_a 6.688
_cell_length_b 6.902
_cell_length_c 7.759
_cell_angle_alpha 91.47
_cell_angle_beta 93.60
_cell_angle_gamma 118.84
_space_group_name_H-M_alt 'P 1'
_space_group_IT_number 1
loop_
_space_group_symop_operation_xyz
'x,y,z'
loop_
_atom_site_label
_atom_site_fract_x
_atom_site_fract_y
_atom_site_fract_z
Te1 0.000 0.000 0.000
Te2 0.388 0.333 0.834
I1 0.113 0.688 0.136
I2 0.160 0.283 0.321
I3 0.544 0.052 0.726
I4 0.791 0.727 0.653
```

The 12 most intense peaks (2θ = 15–90°), by intensity:
d [Å]	two_theta	I/Imax
4.476	19.83	100
4.863	18.24	89
3.254	27.41	82
5.842	15.17	67
2.922	30.60	50
3.163	28.21	49
3.444	25.87	49
3.353	26.58	41
2.811	31.83	39
2.712	33.03	39
3.102	28.78	36
3.175	28.10	35

---

No. 4
Starting from the PBE geometry in Alexandria, the X-ray diffraction stick pattern of Ca2P6Pd21 was computed for a wavelength of 1.5418 Å.
Lines closer than 0.1° are merged.

Atomic structure:
```
data_Ca2P6Pd21
_cell_length_a 8.627
_cell_length_b 8.627
_cell_length_c 8.627
_cell_angle_alpha 60.00
_cell_angle_beta 60.00
_cell_angle_gamma 60.00
_space_group_name_H-M_alt 'P 1'
_space_group_IT_number 1
loop_
_space_group_symop_operation_xyz
'x,y,z'
loop_
_atom_site_label
_atom_site_fract_x
_atom_site_fract_y
_atom_site_fract_z
Ca1 0.250 0.250 0.250
Ca2 0.750 0.750 0.750
P1 0.238 0.238 0.762
P2 0.238 0.762 0.238
P3 0.238 0.762 0.762
P4 0.762 0.238 0.238
P5 0.762 0.238 0.762
P6 0.762 0.762 0.238
Pd1 0.114 0.114 0.114
Pd2 0.114 0.114 0.658
Pd3 0.114 0.658 0.114
Pd4 0.156 0.500 0.500
Pd5 0.156 0.500 0.844
Pd6 0.156 0.844 0.500
Pd7 0.342 0.886 0.886
Pd8 0.500 0.156 0.500
Pd9 0.500 0.156 0.844
Pd10 0.500 0.500 0.156
Pd11 0.500 0.500 0.500
Pd12 0.500 0.500 0.844
Pd13 0.500 0.844 0.156
Pd14 0.500 0.844 0.500
Pd15 0.658 0.114 0.114
Pd16 0.844 0.156 0.500
Pd17 0.844 0.500 0.156
Pd18 0.844 0.500 0.500
Pd19 0.886 0.342 0.886
Pd20 0.886 0.886 0.342
Pd21 0.886 0.886 0.886
```

The 12 most intense peaks (2θ = 15–90°), by intensity:
d [Å]	two_theta	I/Imax
2.348	38.34	100
2.062	43.90	28
1.438	64.85	20
2.157	41.89	20
2.033	44.56	19
1.245	76.50	14
2.490	36.06	14
1.409	66.35	13
2.728	32.83	11
1.226	77.91	10
1.339	70.29	7
1.839	49.56	7

---

No. 5
Starting from the PBE geometry in Alexandria, the X-ray diffraction stick pattern of YZn2Ag was computed for a wavelength of 1.5418 Å.
Lines closer than 0.1° are merged.

Atomic structure:
```
data_YZn2Ag
_cell_length_a 5.554
_cell_length_b 5.554
_cell_length_c 6.725
_cell_angle_alpha 90.00
_cell_angle_beta 90.00
_cell_angle_gamma 131.19
_space_group_name_H-M_alt 'P 1'
_space_group_IT_number 1
loop_
_space_group_symop_operation_xyz
'x,y,z'
loop_
_atom_site_label
_atom_site_fract_x
_atom_site_fract_y
_atom_site_fract_z
Y1 0.094 0.906 0.750
Y2 0.906 0.094 0.250
Zn1 0.380 0.620 0.560
Zn2 0.380 0.620 0.940
Zn3 0.620 0.380 0.060
Zn4 0.620 0.380 0.440
Ag1 0.203 0.797 0.250
Ag2 0.797 0.203 0.750
```

The 12 most intense peaks (2θ = 15–90°), by intensity:
d [Å]	two_theta	I/Imax
2.519	35.64	100
2.620	34.23	94
2.295	39.26	56
2.113	42.79	43
2.367	38.02	27
1.975	45.94	25
1.379	67.98	20
1.648	55.80	17
2.529	35.50	17
1.205	79.52	16
2.049	44.20	15
1.162	83.14	14

---

No. 6
Starting from the PBE geometry in Alexandria, the X-ray diffraction stick pattern of Rb2ZnAg3 was computed for a wavelength of 1.5418 Å.
Lines closer than 0.1° are merged.

Atomic structure:
```
data_Rb2ZnAg3
_cell_length_a 5.905
_cell_length_b 6.880
_cell_length_c 8.997
_cell_angle_alpha 90.00
_cell_angle_beta 90.00
_cell_angle_gamma 90.00
_space_group_name_H-M_alt 'P 1'
_space_group_IT_number 1
loop_
_space_group_symop_operation_xyz
'x,y,z'
loop_
_atom_site_label
_atom_site_fract_x
_atom_site_fract_y
_atom_site_fract_z
Rb1 0.250 0.000 0.119
Rb2 0.250 0.500 0.352
Rb3 0.750 0.000 0.881
Rb4 0.750 0.500 0.648
Zn1 0.250 0.500 0.909
Zn2 0.750 0.500 0.091
Ag1 0.000 0.000 0.500
Ag2 0.250 0.208 0.721
Ag3 0.250 0.792 0.721
Ag4 0.500 0.000 0.500
Ag5 0.750 0.208 0.279
Ag6 0.750 0.792 0.279
```

The 12 most intense peaks (2θ = 15–90°), by intensity:
d [Å]	two_theta	I/Imax
3.175	28.11	100
2.822	31.70	88
2.733	32.77	47
2.952	30.27	40
1.587	58.11	40
4.937	17.97	39
2.468	36.40	37
2.174	41.54	25
1.721	53.24	24
2.674	33.51	23
2.749	32.57	22
2.598	34.53	22

---

No. 7
Starting from the PBE geometry in Alexandria, the X-ray diffraction stick pattern of Be2ZnCdP was computed for a wavelength of 1.5418 Å.
Lines closer than 0.1° are merged.

Atomic structure:
```
data_Be2ZnCdP
_cell_length_a 4.217
_cell_length_b 4.217
_cell_length_c 4.897
_cell_angle_alpha 90.00
_cell_angle_beta 90.00
_cell_angle_gamma 90.00
_space_group_name_H-M_alt 'P 1'
_space_group_IT_number 1
loop_
_space_group_symop_operation_xyz
'x,y,z'
loop_
_atom_site_label
_atom_site_fract_x
_atom_site_fract_y
_atom_site_fract_z
Be1 0.000 0.500 0.000
Be2 0.500 0.000 0.000
Zn1 0.000 0.000 0.000
Cd1 0.500 0.500 0.500
P1 0.000 0.000 0.500
```

The 12 most intense peaks (2θ = 15–90°), by intensity:
d [Å]	two_theta	I/Imax
3.196	27.92	100
2.982	29.96	73
1.892	48.08	38
1.760	51.95	35
2.109	42.89	33
1.598	57.70	27
2.449	36.70	26
2.547	35.24	17
1.171	82.33	15
1.274	74.51	12
1.334	70.63	11
4.897	18.12	11

---

No. 8
Starting from the PBE geometry in Alexandria, the X-ray diffraction stick pattern of PmAg2 was computed for a wavelength of 1.5418 Å.
Lines closer than 0.1° are merged.

Atomic structure:
```
data_PmAg2
_cell_length_a 4.830
_cell_length_b 4.830
_cell_length_c 3.482
_cell_angle_alpha 90.00
_cell_angle_beta 90.00
_cell_angle_gamma 120.00
_space_group_name_H-M_alt 'P 1'
_space_group_IT_number 1
loop_
_space_group_symop_operation_xyz
'x,y,z'
loop_
_atom_site_label
_atom_site_fract_x
_atom_site_fract_y
_atom_site_fract_z
Pm1 0.000 0.000 0.000
Ag1 0.333 0.667 0.500
Ag2 0.667 0.333 0.500
```

The 12 most intense peaks (2θ = 15–90°), by intensity:
d [Å]	two_theta	I/Imax
2.676	33.49	100
2.415	37.23	77
1.793	50.93	30
1.440	64.76	29
1.412	66.17	27
1.394	67.13	13
1.101	88.92	12
1.741	52.57	9
1.207	79.35	8
1.118	87.15	6
1.984	45.72	4
3.482	25.58	3

---

No. 9
Starting from the PBE geometry in Alexandria, the X-ray diffraction stick pattern of Mg3As was computed for a wavelength of 1.5418 Å.
Lines closer than 0.1° are merged.

Atomic structure:
```
data_Mg3As
_cell_length_a 3.303
_cell_length_b 3.303
_cell_length_c 7.956
_cell_angle_alpha 90.00
_cell_angle_beta 90.00
_cell_angle_gamma 90.00
_space_group_name_H-M_alt 'P 1'
_space_group_IT_number 1
loop_
_space_group_symop_operation_xyz
'x,y,z'
loop_
_atom_site_label
_atom_site_fract_x
_atom_site_fract_y
_atom_site_fract_z
Mg1 0.000 0.000 0.000
Mg2 0.500 0.500 0.285
Mg3 0.500 0.500 0.715
As1 0.000 0.000 0.500
```

The 12 most intense peaks (2θ = 15–90°), by intensity:
d [Å]	two_theta	I/Imax
2.541	35.32	100
2.336	38.55	42
1.385	67.66	28
2.068	43.78	17
1.514	61.21	16
1.652	55.65	14
2.241	40.24	12
3.303	26.99	12
3.051	29.28	12
3.978	22.35	11
1.989	45.61	10
1.271	74.71	9

---

No. 10
Starting from the PBE geometry in Alexandria, the X-ray diffraction stick pattern of ThIn3Te4 was computed for a wavelength of 1.5418 Å.
Lines closer than 0.1° are merged.

Atomic structure:
```
data_ThIn3Te4
_cell_length_a 8.263
_cell_length_b 9.285
_cell_length_c 7.693
_cell_angle_alpha 90.00
_cell_angle_beta 107.83
_cell_angle_gamma 90.00
_space_group_name_H-M_alt 'P 1'
_space_group_IT_number 1
loop_
_space_group_symop_operation_xyz
'x,y,z'
loop_
_atom_site_label
_atom_site_fract_x
_atom_site_fract_y
_atom_site_fract_z
Th1 0.000 0.132 0.250
Th2 0.000 0.868 0.750
In1 0.000 0.384 0.750
In2 0.000 0.616 0.250
In3 0.500 0.128 0.750
In4 0.500 0.376 0.250
In5 0.500 0.624 0.750
In6 0.500 0.872 0.250
Te1 0.230 0.111 0.995
Te2 0.230 0.889 0.495
Te3 0.238 0.369 0.492
Te4 0.238 0.631 0.992
Te5 0.762 0.369 0.008
Te6 0.762 0.631 0.508
Te7 0.770 0.111 0.505
Te8 0.770 0.889 0.005
```

The 12 most intense peaks (2θ = 15–90°), by intensity:
d [Å]	two_theta	I/Imax
3.300	27.02	100
3.216	27.74	47
2.366	38.03	41
2.245	40.17	35
1.882	48.36	20
2.346	38.37	19
2.321	38.79	19
1.650	55.71	13
1.967	46.16	11
1.831	49.81	9
1.476	62.95	9
1.501	61.83	9

---

No. 11
Starting from the PBE geometry in Alexandria, the X-ray diffraction stick pattern of La7Mn was computed for a wavelength of 1.5418 Å.
Lines closer than 0.1° are merged.

Atomic structure:
```
data_La7Mn
_cell_length_a 7.248
_cell_length_b 7.248
_cell_length_c 7.248
_cell_angle_alpha 60.00
_cell_angle_beta 60.00
_cell_angle_gamma 60.00
_space_group_name_H-M_alt 'P 1'
_space_group_IT_number 1
loop_
_space_group_symop_operation_xyz
'x,y,z'
loop_
_atom_site_label
_atom_site_fract_x
_atom_site_fract_y
_atom_site_fract_z
La1 0.000 0.000 0.000
La2 0.000 0.000 0.500
La3 0.000 0.500 0.000
La4 0.000 0.500 0.500
La5 0.500 0.000 0.000
La6 0.500 0.000 0.500
La7 0.500 0.500 0.000
Mn1 0.500 0.500 0.500
```

The 12 most intense peaks (2θ = 15–90°), by intensity:
d [Å]	two_theta	I/Imax
2.959	30.20	100
2.563	35.02	51
1.545	59.85	42
1.812	50.36	36
1.176	81.94	17
1.146	84.55	16
1.480	62.81	12
1.281	73.98	6
3.091	28.89	2
5.125	17.30	2
3.624	24.56	2
2.352	38.27	1

---

No. 12
Starting from the PBE geometry in Alexandria, the X-ray diffraction stick pattern of Pu2Pa3Pt4 was computed for a wavelength of 1.5418 Å.
Lines closer than 0.1° are merged.

Atomic structure:
```
data_Pu2Pa3Pt4
_cell_length_a 4.407
_cell_length_b 6.375
_cell_length_c 7.536
_cell_angle_alpha 107.02
_cell_angle_beta 93.67
_cell_angle_gamma 94.51
_space_group_name_H-M_alt 'P 1'
_space_group_IT_number 1
loop_
_space_group_symop_operation_xyz
'x,y,z'
loop_
_atom_site_label
_atom_site_fract_x
_atom_site_fract_y
_atom_site_fract_z
Pu1 0.243 0.450 0.137
Pu2 0.757 0.550 0.863
Pa1 0.356 0.226 0.559
Pa2 0.500 0.000 0.000
Pa3 0.644 0.774 0.441
Pt1 0.057 0.906 0.221
Pt2 0.203 0.674 0.650
Pt3 0.797 0.326 0.350
Pt4 0.943 0.094 0.779
```

The 12 most intense peaks (2θ = 15–90°), by intensity:
d [Å]	two_theta	I/Imax
2.821	31.72	100
2.658	33.72	96
2.641	33.94	92
2.534	35.42	83
1.994	45.50	38
2.031	44.61	37
1.923	47.26	31
1.880	48.41	31
1.849	49.27	31
1.839	49.57	31
1.321	71.39	21
1.554	59.49	20

---

No. 13
Starting from the PBE geometry in Alexandria, the X-ray diffraction stick pattern of Hg2SIF was computed for a wavelength of 1.5418 Å.
Lines closer than 0.1° are merged.

Atomic structure:
```
data_Hg2SIF
_cell_length_a 7.278
_cell_length_b 7.278
_cell_length_c 10.404
_cell_angle_alpha 108.90
_cell_angle_beta 108.90
_cell_angle_gamma 34.62
_space_group_name_H-M_alt 'P 1'
_space_group_IT_number 1
loop_
_space_group_symop_operation_xyz
'x,y,z'
loop_
_atom_site_label
_atom_site_fract_x
_atom_site_fract_y
_atom_site_fract_z
Hg1 0.059 0.059 0.343
Hg2 0.360 0.360 0.108
Hg3 0.640 0.640 0.892
Hg4 0.941 0.941 0.657
S1 0.460 0.460 0.796
S2 0.540 0.540 0.204
I1 0.167 0.167 0.625
I2 0.833 0.833 0.375
F1 0.198 0.198 0.036
F2 0.802 0.802 0.964
```

The 12 most intense peaks (2θ = 15–90°), by intensity:
d [Å]	two_theta	I/Imax
3.654	24.36	100
4.770	18.60	78
3.154	28.29	75
2.700	33.18	72
2.304	39.09	53
1.843	49.45	44
3.275	27.23	42
2.825	31.67	42
1.865	48.82	40
2.166	41.71	40
2.994	29.84	39
3.944	22.55	35

---

No. 14
Starting from the PBE geometry in Alexandria, the X-ray diffraction stick pattern of KIn9Ga3 was computed for a wavelength of 1.5418 Å.
Lines closer than 0.1° are merged.

Atomic structure:
```
data_KIn9Ga3
_cell_length_a 8.301
_cell_length_b 8.301
_cell_length_c 8.108
_cell_angle_alpha 95.88
_cell_angle_beta 95.88
_cell_angle_gamma 139.41
_space_group_name_H-M_alt 'P 1'
_space_group_IT_number 1
loop_
_space_group_symop_operation_xyz
'x,y,z'
loop_
_atom_site_label
_atom_site_fract_x
_atom_site_fract_y
_atom_site_fract_z
K1 0.000 0.000 0.000
In1 0.000 0.000 0.500
In2 0.008 0.647 0.650
In3 0.292 0.509 0.791
In4 0.353 0.992 0.350
In5 0.491 0.708 0.209
In6 0.509 0.292 0.791
In7 0.647 0.008 0.650
In8 0.708 0.491 0.209
In9 0.992 0.353 0.350
Ga1 0.000 0.500 0.000
Ga2 0.500 0.000 0.000
Ga3 0.500 0.500 0.500
```

The 12 most intense peaks (2θ = 15–90°), by intensity:
d [Å]	two_theta	I/Imax
2.746	32.61	100
2.450	36.68	86
2.462	36.49	69
2.312	38.96	67
2.710	33.05	63
2.757	32.47	58
2.594	34.58	51
2.501	35.91	43
3.027	29.51	43
2.683	33.40	41
2.380	37.80	40
2.873	31.13	38